Record 1
Diffraction record for MnCr8Cu3S16. The X-ray powder pattern is theoretical, not measured: it uses a cell relaxed with GGA-PBE and copper Kα.

The 12 most intense peaks (2θ from 5° to 70°), sorted by position:
- 2θ = 15.47°, I = 7.6
- 2θ = 25.39°, I = 36.7
- 2θ = 29.87°, I = 100.0
- 2θ = 36.22°, I = 44.6
- 2θ = 44.72°, I = 10.5
- 2θ = 44.85°, I = 3.5
- 2θ = 47.63°, I = 44.9
- 2θ = 52.09°, I = 44.0
- 2θ = 52.22°, I = 43.5
- 2θ = 58.87°, I = 5.2
- 2θ = 61.24°, I = 5.6
- 2θ = 65.09°, I = 6.2

Atomic structure:
Lattice parameters (Å, degrees): 12.1255 12.1255 12.1255 33.67 33.67 33.67
Sites, in units of the cell vectors:
Mn 0.0000 0.0000 0.0000
Cr 0.1871 0.1871 0.1871
Cr 0.4342 0.4342 0.9411
Cr 0.4342 0.9411 0.4342
Cr 0.4415 0.9364 0.9364
Cr 0.6893 0.6893 0.6893
Cr 0.9364 0.4415 0.9364
Cr 0.9364 0.9364 0.4415
Cr 0.9411 0.4342 0.4342
Cu 0.3751 0.3751 0.3751
Cu 0.4999 0.4999 0.4999
Cu 0.8751 0.8751 0.8751
S 0.0427 0.5747 0.5747
S 0.0674 0.0674 0.0674
S 0.0744 0.0744 0.5423
S 0.0744 0.5423 0.0744
S 0.3002 0.3002 0.8327
S 0.3002 0.8327 0.3002
S 0.3083 0.3083 0.3083
S 0.3370 0.7979 0.7979
S 0.5423 0.0744 0.0744
S 0.5668 0.5668 0.5668
S 0.5747 0.0427 0.5747
S 0.5747 0.5747 0.0427
S 0.7979 0.3370 0.7979
S 0.7979 0.7979 0.3370
S 0.8086 0.8086 0.8086
S 0.8327 0.3002 0.3002

---

Record 2
Diffraction record for Cr3Cu2NiSe8. The X-ray powder pattern is theoretical, not measured: it uses a cell relaxed with GGA-PBE and copper Kα.

The 12 most intense peaks (2θ from 5° to 70°), sorted by position:
- 2θ = 14.87°, I = 10.5
- 2θ = 24.39°, I = 21.3
- 2θ = 28.65°, I = 40.1
- 2θ = 28.72°, I = 10.9
- 2θ = 29.87°, I = 15.8
- 2θ = 30.01°, I = 46.4
- 2θ = 34.75°, I = 100.0
- 2θ = 45.63°, I = 27.7
- 2θ = 49.87°, I = 65.1
- 2θ = 50.05°, I = 63.8
- 2θ = 59.41°, I = 18.0
- 2θ = 62.37°, I = 15.9

Atomic structure:
Lattice parameters (Å, degrees): 7.3151 7.3151 7.3151 59.77 59.77 59.77
Sites, in units of the cell vectors:
Cr 0.0000 0.5000 0.5000
Cr 0.5000 0.0000 0.5000
Cr 0.5000 0.5000 0.0000
Cu 0.1250 0.1250 0.1250
Cu 0.8750 0.8750 0.8750
Ni 0.5000 0.5000 0.5000
Se 0.2579 0.2579 0.2579
Se 0.2592 0.2592 0.7248
Se 0.2592 0.7248 0.2592
Se 0.2752 0.7408 0.7408
Se 0.7248 0.2592 0.2592
Se 0.7408 0.2752 0.7408
Se 0.7408 0.7408 0.2752
Se 0.7421 0.7421 0.7421

---

Record 3
Diffraction record for CrCu4NiSn2. The X-ray powder pattern is theoretical, not measured: it uses a cell relaxed with GGA-PBE and copper Kα.

The 12 most intense peaks (2θ from 5° to 70°), sorted by position:
- 2θ = 25.02°, I = 13.3
- 2θ = 25.14°, I = 4.5
- 2θ = 29.00°, I = 4.5
- 2θ = 41.40°, I = 100.0
- 2θ = 41.56°, I = 98.7
- 2θ = 49.03°, I = 7.8
- 2θ = 49.19°, I = 2.5
- 2θ = 60.11°, I = 31.9
- 2θ = 66.02°, I = 2.4
- 2θ = 66.19°, I = 1.2
- 2θ = 66.37°, I = 1.2
- 2θ = 68.22°, I = 1.2

Atomic structure:
Lattice parameters (Å, degrees): 7.5179 7.5179 7.5179 33.73 33.73 33.73
Sites, in units of the cell vectors:
Cr 0.0000 0.0000 0.0000
Cu 0.1261 0.1261 0.1261
Cu 0.3764 0.3764 0.3764
Cu 0.6236 0.6236 0.6236
Cu 0.8739 0.8739 0.8739
Ni 0.5000 0.5000 0.5000
Sn 0.2496 0.2496 0.2496
Sn 0.7504 0.7504 0.7504

---

Record 4
Diffraction record for CrCuP2S6. The X-ray powder pattern is theoretical, not measured: it uses a cell relaxed with GGA-PBE and copper Kα.

The 12 most intense peaks (2θ from 5° to 70°), sorted by position:
- 2θ = 12.62°, I = 100.0
- 2θ = 15.25°, I = 27.7
- 2θ = 17.15°, I = 6.9
- 2θ = 25.39°, I = 51.1
- 2θ = 28.25°, I = 9.0
- 2θ = 28.79°, I = 10.1
- 2θ = 30.11°, I = 34.4
- 2θ = 30.23°, I = 20.0
- 2θ = 34.34°, I = 58.8
- 2θ = 34.71°, I = 26.4
- 2θ = 38.52°, I = 7.0
- 2θ = 52.97°, I = 54.6

Atomic structure:
Lattice parameters (Å, degrees): 5.9854 10.3780 14.5304 90.00 105.07 90.00
Sites, in units of the cell vectors:
Cr 0.2480 0.0809 0.2513
Cr 0.2480 0.4191 0.7513
Cr 0.7520 0.5809 0.2487
Cr 0.7520 0.9191 0.7487
Cu 0.3153 0.7476 0.3503
Cu 0.3153 0.7524 0.8503
Cu 0.6847 0.2476 0.1497
Cu 0.6847 0.2524 0.6497
P 0.1928 0.0832 0.6701
P 0.1928 0.4168 0.1701
P 0.2896 0.0889 0.8258
P 0.2896 0.4111 0.3258
P 0.7104 0.5889 0.6742
P 0.7104 0.9111 0.1742
P 0.8072 0.5832 0.8299
P 0.8072 0.9168 0.3299
S 0.0132 0.5710 0.6383
S 0.0132 0.9290 0.1383
S 0.0138 0.0724 0.3665
S 0.0138 0.4276 0.8665
S 0.0418 0.2369 0.1304
S 0.0418 0.2631 0.6304
S 0.4624 0.2435 0.3619
S 0.4624 0.2565 0.8619
S 0.4824 0.0662 0.1348
S 0.4824 0.4338 0.6348
S 0.4984 0.5639 0.8695
S 0.4984 0.9361 0.3695
S 0.5016 0.0639 0.6305
S 0.5016 0.4361 0.1305
S 0.5176 0.5662 0.3652
S 0.5176 0.9338 0.8652
S 0.5376 0.7435 0.1381
S 0.5376 0.7565 0.6381
S 0.9582 0.7369 0.3696
S 0.9582 0.7631 0.8696
S 0.9862 0.5724 0.1335
S 0.9862 0.9276 0.6335
S 0.9868 0.0710 0.8617
S 0.9868 0.4290 0.3617

---

Record 5
Diffraction record for CrCuP2Se6. The X-ray powder pattern is theoretical, not measured: it uses a cell relaxed with GGA-PBE and copper Kα.

The 12 most intense peaks (2θ from 5° to 70°), sorted by position:
- 2θ = 12.88°, I = 52.2
- 2θ = 25.92°, I = 37.6
- 2θ = 28.88°, I = 17.8
- 2θ = 29.76°, I = 16.2
- 2θ = 29.91°, I = 32.7
- 2θ = 33.44°, I = 100.0
- 2θ = 33.67°, I = 48.7
- 2θ = 45.36°, I = 15.7
- 2θ = 45.73°, I = 33.7
- 2θ = 50.56°, I = 49.8
- 2θ = 53.07°, I = 10.9
- 2θ = 62.14°, I = 14.7

Atomic structure:
Lattice parameters (Å, degrees): 6.2532 6.2532 7.1631 98.09 98.09 119.96
Sites, in units of the cell vectors:
Cr 0.0000 0.0000 0.0000
Cu 0.6625 0.3375 0.0000
P 0.2813 0.6145 0.8386
P 0.3855 0.7187 0.1614
Se 0.0714 0.3893 0.2381
Se 0.2406 0.2362 0.7617
Se 0.3940 0.0809 0.2386
Se 0.6107 0.9286 0.7619
Se 0.7638 0.7594 0.2383
Se 0.9191 0.6060 0.7614

---

Record 6
Diffraction record for CrCuRhSe4. The X-ray powder pattern is theoretical, not measured: it uses a cell relaxed with GGA-PBE and copper Kα.

The 12 most intense peaks (2θ from 5° to 70°), sorted by position:
- 2θ = 14.96°, I = 22.4
- 2θ = 28.25°, I = 29.2
- 2θ = 28.64°, I = 16.1
- 2θ = 28.81°, I = 12.8
- 2θ = 29.48°, I = 14.5
- 2θ = 30.19°, I = 14.4
- 2θ = 34.58°, I = 100.0
- 2θ = 45.73°, I = 16.6
- 2θ = 48.77°, I = 21.7
- 2θ = 49.72°, I = 81.6
- 2θ = 50.62°, I = 19.1
- 2θ = 61.17°, I = 11.7

Atomic structure:
Lattice parameters (Å, degrees): 7.3375 7.3375 7.3375 121.12 118.81 90.07
Sites, in units of the cell vectors:
Cr 0.5000 0.0000 0.0000
Cr 0.5000 0.5000 0.5000
Cu 0.1222 0.3722 0.7500
Cu 0.8778 0.6278 0.2500
Rh 0.0000 0.0000 0.0000
Rh 0.5000 0.0000 0.5000
Se 0.2584 0.2410 0.4826
Se 0.2582 0.2429 0.0153
Se 0.2584 0.7758 0.0174
Se 0.2724 0.7571 0.5153
Se 0.7276 0.2429 0.4847
Se 0.7416 0.2242 0.9826
Se 0.7418 0.7571 0.9847
Se 0.7416 0.7590 0.5174